Structure and calculated X-ray powder pattern of LiBi3PbWClO8 (a crystal structure in Alexandria, relaxed with PBE+U; Cu Kα).
No peak broadening, texture or thermal motion is included.

Cell and atoms:
```
LiBi3PbWClO8
1.0
3.985 0.000 0.000
0.000 3.985 0.000
0.000 0.000 14.968
Li Bi Pb W Cl O
1 3 1 1 1 8
Cartesian
0.000 0.000 0.000
0.000 0.000 12.212
1.992 1.992 0.573
1.992 1.992 4.587
0.000 0.000 7.074
1.992 1.992 10.174
0.000 0.000 2.533
0.000 1.992 5.654
0.000 1.992 10.548
0.000 1.992 14.535
1.992 0.000 5.654
1.992 0.000 10.548
1.992 0.000 14.535
1.992 1.992 8.347
1.992 1.992 12.237
```

Largest 12 diffraction maxima, in order of rising 2θ, 2θ from 15° to 90°:
| 2θ/deg | d [Å] | Rel. int. |
| --- | --- | --- |
| 17.78 | 4.989 | 10 |
| 23.10 | 3.850 | 10 |
| 25.32 | 3.517 | 17 |
| 28.67 | 3.113 | 100 |
| 31.76 | 2.817 | 46 |
| 40.06 | 2.251 | 9 |
| 44.14 | 2.052 | 13 |
| 45.53 | 1.992 | 25 |
| 48.74 | 1.868 | 15 |
| 54.70 | 1.678 | 34 |
| 59.33 | 1.558 | 14 |
| 75.44 | 1.260 | 8 |